Entry 1:
# PrNpBiO2
Computed X-ray diffraction stick pattern, Cu Kα. Input: a cell relaxed with PBE.
Kinematic intensities with the Lorentz-polarization factor, no thermal factor.

Peak list (10 most intense, 10° ≤ 2θ ≤ 80°, sorted by position)
2θ = 30.1°, rel. 100, hkl 1 0 3
2θ = 31.6°, rel. 39, hkl 1 1 0
2θ = 40.7°, rel. 12, hkl 0 0 6
2θ = 45.3°, rel. 19, hkl 2 0 0
2θ = 52.4°, rel. 23, hkl 1 1 6
2θ = 55.3°, rel. 38, hkl 2 1 3
2θ = 62.5°, rel. 13, hkl 2 0 6
2θ = 67.6°, rel. 10, hkl 1 0 9
2θ = 74.1°, rel. 9, hkl 3 0 3
2θ = 74.9°, rel. 7, hkl 3 1 0

a = 4.0077 Å, b = 4.0077 Å, c = 13.2967 Å
α = 90.00°, β = 90.00°, γ = 90.00°
Space group I4mm (No. 107)
Unique sites:
Pr1 0.0000 0.0000 0.0000 (multiplicity 2)
Np1 0.0000 0.0000 0.3195 (multiplicity 2)
Bi1 0.0000 0.0000 0.6608 (multiplicity 2)
O1 0.0000 0.5000 0.3994 (multiplicity 4)

Entry 2:
# Ni3RuPt7
Computed X-ray diffraction stick pattern, Cu Kα. Input: a cell relaxed with PBE.
Kinematic intensities with the Lorentz-polarization factor, no thermal factor.

Peak list (10 most intense, 10° ≤ 2θ ≤ 80°, sorted by position)
2θ = 29.4°, rel. 39, hkl 0 2 1
2θ = 29.8°, rel. 17, hkl 2 2 0
2θ = 35.3°, rel. 25, hkl 3 1 0
2θ = 38.4°, rel. 64, hkl 2 0 -2
2θ = 39.2°, rel. 70, hkl 0 4 0
2θ = 41.9°, rel. 17, hkl 3 3 -1
2θ = 44.0°, rel. 100, hkl 2 2 1
2θ = 53.2°, rel. 16, hkl 1 1 2
2θ = 56.0°, rel. 40, hkl 2 4 -2
2θ = 74.3°, rel. 18, hkl 2 6 1

a = 9.2029 Å, b = 9.2001 Å, c = 4.6897 Å
α = 90.00°, β = 120.53°, γ = 90.00°
Space group C2/m (No. 12)
Unique sites:
Ni1 0.0000 0.0000 0.0000 (multiplicity 2)
Ni2 0.0000 0.2328 0.5000 (multiplicity 4)
Ru1 0.0000 0.5000 0.0000 (multiplicity 2)
Pt1 0.0000 0.5000 0.5000 (multiplicity 2)
Pt2 0.1682 0.2387 0.1685 (multiplicity 8)
Pt3 0.1686 0.0000 0.6666 (multiplicity 4)